Record 1
The following is a computed XRD peak list of NaDy4Mg5. It was derived from a DFT-relaxed cell (PBE, Alexandria), using copper Kα.
Kinematic intensities with the Lorentz-polarization factor, no thermal factor.

Top 10 peaks for 10° ≤ 2θ ≤ 90°, low angle first:
- 2θ = 22.74°, d 3.910, intensity 29, hkl 0 0 5
- 2θ = 23.69°, d 3.755, intensity 55, hkl 1 0 0
- 2θ = 33.07°, d 2.708, intensity 100, hkl 1 0 5
- 2θ = 33.76°, d 2.655, intensity 50, hkl 1 1 0
- 2θ = 36.51°, d 2.461, intensity 13, hkl 1 0 6
- 2θ = 41.09°, d 2.197, intensity 25, hkl 1 1 5
- 2θ = 48.49°, d 1.878, intensity 18, hkl 2 0 0
- 2θ = 54.65°, d 1.679, intensity 12, hkl 2 1 0
- 2θ = 58.64°, d 1.574, intensity 16, hkl 1 1 10
- 2θ = 59.95°, d 1.543, intensity 36, hkl 2 1 5

Cell and atoms:
abc: 3.755 3.755 19.552
angles: 90.00 90.00 90.00
Space group P4/mmm (No. 123)
Inequivalent atoms, fractional coordinates:
Na (0.000, 0.000, 0.000) [1 per cell]
Dy (0.000, 0.000, 0.210) [2 per cell]
Dy (0.000, 0.000, 0.403) [2 per cell]
Mg (0.500, 0.500, 0.109) [2 per cell]
Mg (0.500, 0.500, 0.307) [2 per cell]
Mg (0.500, 0.500, 0.500) [1 per cell]

***

Record 2
The following is a computed XRD peak list of Nd4Dy4Mg. It was derived from a DFT-relaxed cell (PBE, Alexandria), using copper Kα.
Kinematic intensities with the Lorentz-polarization factor, no thermal factor.

Top 10 peaks for 10° ≤ 2θ ≤ 90°, low angle first:
- 2θ = 30.65°, d 2.917, intensity 100, hkl 2 2 0
- 2θ = 35.50°, d 2.529, intensity 34, hkl 2 1 3
- 2θ = 35.63°, d 2.520, intensity 17, hkl 2 0 -3
- 2θ = 51.05°, d 1.789, intensity 12, hkl 2 3 -3
- 2θ = 51.19°, d 1.785, intensity 24, hkl 4 1 0
- 2θ = 60.67°, d 1.526, intensity 11, hkl 2 -4 0
- 2θ = 60.79°, d 1.524, intensity 14, hkl 4 3 3
- 2θ = 60.91°, d 1.521, intensity 14, hkl 4 2 -3
- 2θ = 63.79°, d 1.459, intensity 9, hkl 4 -2 0
- 2θ = 83.43°, d 1.159, intensity 6, hkl 6 0 0

Cell and atoms:
abc: 7.138 7.999 10.699
angles: 77.25 89.86 77.10
Space group P-1 (No. 2)
Inequivalent atoms, fractional coordinates:
Nd (0.082, 0.171, 0.385) [2 per cell]
Nd (0.247, 0.500, 0.835) [2 per cell]
Nd (0.413, 0.836, 0.609) [2 per cell]
Nd (0.414, 0.836, 0.943) [2 per cell]
Dy (0.082, 0.165, 0.058) [2 per cell]
Dy (0.083, 0.167, 0.722) [2 per cell]
Dy (0.247, 0.499, 0.501) [2 per cell]
Dy (0.251, 0.506, 0.169) [2 per cell]
Mg (0.416, 0.829, 0.278) [2 per cell]

***

Record 3
The following is a computed XRD peak list of Nd12Dy2Mg. It was derived from a DFT-relaxed cell (PBE, Alexandria), using copper Kα.
Kinematic intensities with the Lorentz-polarization factor, no thermal factor.

Top 10 peaks for 10° ≤ 2θ ≤ 90°, low angle first:
- 2θ = 28.61°, d 3.120, intensity 20, hkl 2 0 4
- 2θ = 29.42°, d 3.036, intensity 36, hkl 0 2 7
- 2θ = 29.98°, d 2.980, intensity 100, hkl 2 2 2
- 2θ = 30.59°, d 2.923, intensity 74, hkl 0 4 0
- 2θ = 32.58°, d 2.748, intensity 98, hkl 0 2 8
- 2θ = 32.91°, d 2.721, intensity 19, hkl 2 0 6
- 2θ = 36.42°, d 2.467, intensity 32, hkl 2 2 6
- 2θ = 42.39°, d 2.132, intensity 18, hkl 2 4 4
- 2θ = 60.30°, d 1.535, intensity 20, hkl 4 4 0
- 2θ = 61.52°, d 1.507, intensity 20, hkl 4 2 8

Cell and atoms:
abc: 7.215 11.692 24.873
angles: 90.00 90.00 90.00
Space group Cmme (No. 67)
Inequivalent atoms, fractional coordinates:
Nd (0.000, 0.000, 0.074) [8 per cell]
Nd (0.000, 0.025, 0.440) [8 per cell]
Nd (0.231, 0.250, 0.586) [8 per cell]
Nd (0.249, 0.250, 0.127) [8 per cell]
Nd (0.250, 0.000, 0.197) [8 per cell]
Nd (0.250, 0.000, 0.324) [8 per cell]
Dy (0.000, 0.250, 0.269) [4 per cell]
Dy (0.000, 0.250, 0.735) [4 per cell]
Mg (0.000, 0.250, 0.000) [4 per cell]

***

Record 4
The following is a computed XRD peak list of Nd2Dy4Mg. It was derived from a DFT-relaxed cell (PBE, Alexandria), using copper Kα.
Kinematic intensities with the Lorentz-polarization factor, no thermal factor.

Top 10 peaks for 10° ≤ 2θ ≤ 90°, low angle first:
- 2θ = 15.22°, d 5.821, intensity 31, hkl 0 2 0
- 2θ = 28.35°, d 3.148, intensity 83, hkl 1 3 -1
- 2θ = 29.60°, d 3.018, intensity 64, hkl 0 0 2
- 2θ = 30.39°, d 2.941, intensity 59, hkl 2 0 0
- 2θ = 30.72°, d 2.911, intensity 42, hkl 0 4 0
- 2θ = 31.57°, d 2.834, intensity 44, hkl 1 2 -2
- 2θ = 33.29°, d 2.691, intensity 30, hkl 2 0 -2
- 2θ = 34.11°, d 2.629, intensity 100, hkl 1 3 1
- 2θ = 36.79°, d 2.443, intensity 31, hkl 2 2 -2
- 2θ = 58.02°, d 1.590, intensity 26, hkl 1 7 -1

Cell and atoms:
abc: 6.382 11.643 6.547
angles: 90.00 112.80 90.00
Space group P2_1/c (No. 14)
Inequivalent atoms, fractional coordinates:
Nd (0.175, 0.000, 0.302) [4 per cell]
Dy (0.241, 0.211, 0.716) [4 per cell]
Dy (0.243, 0.711, 0.215) [4 per cell]
Mg (0.500, 0.000, 0.000) [2 per cell]

***

Record 5
The following is a computed XRD peak list of Nd14DyMg. It was derived from a DFT-relaxed cell (PBE, Alexandria), using copper Kα.
Kinematic intensities with the Lorentz-polarization factor, no thermal factor.

Top 10 peaks for 10° ≤ 2θ ≤ 90°, low angle first:
- 2θ = 30.04°, d 2.975, intensity 100, hkl 2 2 2
- 2θ = 34.72°, d 2.584, intensity 17, hkl 4 0 0
- 2θ = 34.87°, d 2.573, intensity 34, hkl 0 4 0
- 2θ = 50.03°, d 1.823, intensity 24, hkl 4 4 0
- 2θ = 50.14°, d 1.819, intensity 12, hkl 0 4 4
- 2θ = 59.37°, d 1.557, intensity 14, hkl 6 2 2
- 2θ = 59.56°, d 1.552, intensity 29, hkl 2 6 2
- 2θ = 62.43°, d 1.488, intensity 12, hkl 4 4 4
- 2θ = 81.35°, d 1.183, intensity 12, hkl 6 6 2
- 2θ = 84.09°, d 1.151, intensity 11, hkl 0 8 4

Cell and atoms:
abc: 10.335 10.292 10.290
angles: 90.00 90.00 90.00
Space group Amm2 (No. 38)
Inequivalent atoms, fractional coordinates:
Nd (0.000, 0.000, 0.000) [2 per cell]
Nd (0.000, 0.000, 0.500) [2 per cell]
Nd (0.000, 0.250, 0.250) [4 per cell]
Nd (0.253, 0.000, 0.250) [4 per cell]
Nd (0.253, 0.250, 0.000) [8 per cell]
Nd (0.254, 0.000, 0.750) [4 per cell]
Nd (0.500, 0.249, 0.250) [4 per cell]
Dy (0.500, 0.000, 0.000) [2 per cell]
Mg (0.500, 0.000, 0.500) [2 per cell]

***

Record 6
The following is a computed XRD peak list of Nd3Dy2Mg2. It was derived from a DFT-relaxed cell (PBE, Alexandria), using copper Kα.
Kinematic intensities with the Lorentz-polarization factor, no thermal factor.

Top 10 peaks for 10° ≤ 2θ ≤ 90°, low angle first:
- 2θ = 24.06°, d 3.699, intensity 28, hkl 0 0 1
- 2θ = 24.92°, d 3.573, intensity 33, hkl 1 3 0
- 2θ = 28.51°, d 3.131, intensity 30, hkl 0 10 0
- 2θ = 29.60°, d 3.018, intensity 38, hkl 0 6 1
- 2θ = 30.87°, d 2.897, intensity 100, hkl 1 7 0
- 2θ = 33.33°, d 2.688, intensity 41, hkl 0 8 1
- 2θ = 33.93°, d 2.642, intensity 74, hkl 1 1 1
- 2θ = 39.51°, d 2.281, intensity 25, hkl 1 7 1
- 2θ = 56.05°, d 1.641, intensity 22, hkl 1 15 1
- 2θ = 59.28°, d 1.559, intensity 31, hkl 1 7 2

Cell and atoms:
abc: 3.803 31.306 3.699
angles: 90.00 90.00 90.00
Space group Cmmm (No. 65)
Inequivalent atoms, fractional coordinates:
Nd (0.000, 0.000, 0.000) [2 per cell]
Nd (0.000, 0.418, 0.500) [4 per cell]
Dy (0.000, 0.295, 0.500) [4 per cell]
Mg (0.000, 0.146, 0.000) [4 per cell]

***

Record 7
The following is a computed XRD peak list of Nd2Dy5Mg. It was derived from a DFT-relaxed cell (PBE, Alexandria), using copper Kα.
Kinematic intensities with the Lorentz-polarization factor, no thermal factor.

Top 10 peaks for 10° ≤ 2θ ≤ 90°, low angle first:
- 2θ = 15.34°, d 5.777, intensity 8, hkl 1 0 1
- 2θ = 30.96°, d 2.889, intensity 100, hkl 2 0 2
- 2θ = 35.51°, d 2.528, intensity 17, hkl 0 0 4
- 2θ = 36.09°, d 2.489, intensity 33, hkl 2 2 0
- 2θ = 51.53°, d 1.773, intensity 24, hkl 2 2 4
- 2θ = 51.96°, d 1.760, intensity 12, hkl 4 0 0
- 2θ = 60.95°, d 1.520, intensity 15, hkl 2 0 6
- 2θ = 61.73°, d 1.503, intensity 28, hkl 4 2 2
- 2θ = 64.52°, d 1.444, intensity 12, hkl 4 0 4
- 2θ = 84.16°, d 1.150, intensity 12, hkl 4 2 6

Cell and atoms:
abc: 7.039 7.039 10.112
angles: 90.00 90.00 90.00
Space group I4/mmm (No. 139)
Inequivalent atoms, fractional coordinates:
Nd (0.000, 0.500, 0.000) [4 per cell]
Dy (0.000, 0.000, 0.000) [2 per cell]
Dy (0.250, 0.250, 0.250) [8 per cell]
Mg (0.000, 0.000, 0.500) [2 per cell]

***

Record 8
The following is a computed XRD peak list of Nd8Dy3Mg. It was derived from a DFT-relaxed cell (PBE, Alexandria), using copper Kα.
Kinematic intensities with the Lorentz-polarization factor, no thermal factor.

Top 10 peaks for 10° ≤ 2θ ≤ 90°, low angle first:
- 2θ = 24.10°, d 3.692, intensity 83, hkl 2 1 1
- 2θ = 25.61°, d 3.479, intensity 91, hkl 2 0 2
- 2θ = 28.99°, d 3.080, intensity 81, hkl 2 2 0
- 2θ = 30.94°, d 2.890, intensity 79, hkl 0 0 4
- 2θ = 32.69°, d 2.740, intensity 38, hkl 2 1 3
- 2θ = 36.12°, d 2.487, intensity 100, hkl 3 1 2
- 2θ = 42.91°, d 2.108, intensity 55, hkl 2 2 4
- 2θ = 44.45°, d 2.038, intensity 44, hkl 4 0 2
- 2θ = 49.37°, d 1.846, intensity 33, hkl 4 2 2
- 2θ = 69.11°, d 1.359, intensity 31, hkl 4 4 4

Cell and atoms:
abc: 8.712 8.712 11.560
angles: 90.00 90.00 90.00
Space group I-42m (No. 121)
Inequivalent atoms, fractional coordinates:
Nd (0.127, 0.127, 0.252) [8 per cell]
Nd (0.249, 0.249, 0.509) [8 per cell]
Dy (0.000, 0.000, 0.500) [2 per cell]
Dy (0.000, 0.500, 0.250) [4 per cell]
Mg (0.000, 0.000, 0.000) [2 per cell]

***

Record 9
The following is a computed XRD peak list of Pm2NdDy2Mg. It was derived from a DFT-relaxed cell (PBE, Alexandria), using copper Kα.
Kinematic intensities with the Lorentz-polarization factor, no thermal factor.

Top 10 peaks for 10° ≤ 2θ ≤ 90°, low angle first:
- 2θ = 28.11°, d 3.175, intensity 33, hkl 0 6 0
- 2θ = 28.46°, d 3.136, intensity 100, hkl 1 5 0
- 2θ = 29.00°, d 3.079, intensity 58, hkl 1 0 1
- 2θ = 30.51°, d 2.930, intensity 86, hkl 1 2 1
- 2θ = 32.41°, d 2.763, intensity 68, hkl 2 0 0
- 2θ = 34.69°, d 2.586, intensity 87, hkl 1 4 1
- 2θ = 41.14°, d 2.194, intensity 31, hkl 0 7 1
- 2θ = 53.32°, d 1.718, intensity 29, hkl 2 7 1
- 2θ = 57.76°, d 1.596, intensity 28, hkl 1 5 2
- 2θ = 60.09°, d 1.540, intensity 23, hkl 2 0 2

Cell and atoms:
abc: 5.525 19.048 3.709
angles: 90.00 90.00 90.00
Space group Pnnm (No. 58)
Inequivalent atoms, fractional coordinates:
Pm (0.001, 0.188, 0.000) [4 per cell]
Nd (0.000, 0.000, 0.500) [2 per cell]
Dy (0.001, 0.368, 0.000) [4 per cell]
Mg (0.000, 0.500, 0.500) [2 per cell]

***

Record 10
The following is a computed XRD peak list of Pm2NdDy4Mg. It was derived from a DFT-relaxed cell (PBE, Alexandria), using copper Kα.
Kinematic intensities with the Lorentz-polarization factor, no thermal factor.

Top 10 peaks for 10° ≤ 2θ ≤ 90°, low angle first:
- 2θ = 30.82°, d 2.901, intensity 100, hkl 1 1 2
- 2θ = 35.19°, d 2.550, intensity 18, hkl 0 0 4
- 2θ = 36.01°, d 2.494, intensity 33, hkl 2 0 0
- 2θ = 51.24°, d 1.783, intensity 24, hkl 2 0 4
- 2θ = 51.84°, d 1.764, intensity 12, hkl 2 2 0
- 2θ = 60.45°, d 1.531, intensity 15, hkl 1 1 6
- 2θ = 61.48°, d 1.508, intensity 14, hkl 1 3 2
- 2θ = 61.59°, d 1.506, intensity 14, hkl 3 1 2
- 2θ = 64.21°, d 1.451, intensity 12, hkl 2 2 4
- 2θ = 83.63°, d 1.156, intensity 12, hkl 3 1 6

Cell and atoms:
abc: 4.983 4.993 10.200
angles: 90.00 90.00 90.00
Space group Pmmm (No. 47)
Inequivalent atoms, fractional coordinates:
Pm (0.000, 0.000, 0.000) [1 per cell]
Pm (0.500, 0.500, 0.500) [1 per cell]
Nd (0.000, 0.000, 0.500) [1 per cell]
Dy (0.000, 0.500, 0.246) [2 per cell]
Dy (0.500, 0.000, 0.246) [2 per cell]
Mg (0.500, 0.500, 0.000) [1 per cell]

***

Record 11
The following is a computed XRD peak list of Pm6Nd2DyMg. It was derived from a DFT-relaxed cell (PBE, Alexandria), using copper Kα.
Kinematic intensities with the Lorentz-polarization factor, no thermal factor.

Top 10 peaks for 10° ≤ 2θ ≤ 90°, low angle first:
- 2θ = 28.04°, d 3.182, intensity 25, hkl 2 2 -2
- 2θ = 28.26°, d 3.158, intensity 46, hkl 1 3 2
- 2θ = 30.12°, d 2.967, intensity 60, hkl 3 1 -1
- 2θ = 30.71°, d 2.911, intensity 43, hkl 0 2 3
- 2θ = 30.86°, d 2.897, intensity 100, hkl 2 2 2
- 2θ = 31.21°, d 2.866, intensity 32, hkl 2 4 -1
- 2θ = 31.98°, d 2.799, intensity 22, hkl 1 5 -1
- 2θ = 33.97°, d 2.639, intensity 30, hkl 1 3 -3
- 2θ = 34.75°, d 2.582, intensity 17, hkl 2 4 -2
- 2θ = 38.74°, d 2.324, intensity 15, hkl 1 1 -4

Cell and atoms:
abc: 9.281 15.267 9.506
angles: 90.00 96.39 90.00
Space group C2/c (No. 15)
Inequivalent atoms, fractional coordinates:
Pm (0.051, 0.181, 0.447) [8 per cell]
Pm (0.106, 0.392, 0.611) [8 per cell]
Pm (0.214, 0.215, 0.802) [8 per cell]
Nd (0.241, 0.449, 0.952) [8 per cell]
Dy (0.000, 0.021, 0.750) [4 per cell]
Mg (0.000, 0.412, 0.250) [4 per cell]

***

Record 12
The following is a computed XRD peak list of Pr2Nd4DyMg. It was derived from a DFT-relaxed cell (PBE, Alexandria), using copper Kα.
Kinematic intensities with the Lorentz-polarization factor, no thermal factor.

Top 10 peaks for 10° ≤ 2θ ≤ 90°, low angle first:
- 2θ = 30.28°, d 2.952, intensity 100, hkl 1 1 2
- 2θ = 34.83°, d 2.576, intensity 17, hkl 0 0 4
- 2θ = 35.23°, d 2.547, intensity 33, hkl 2 0 0
- 2θ = 50.39°, d 1.811, intensity 24, hkl 2 0 4
- 2θ = 50.68°, d 1.801, intensity 12, hkl 2 2 0
- 2θ = 59.65°, d 1.550, intensity 14, hkl 1 1 6
- 2θ = 60.19°, d 1.538, intensity 28, hkl 3 1 2
- 2θ = 62.97°, d 1.476, intensity 12, hkl 2 2 4
- 2θ = 82.02°, d 1.175, intensity 12, hkl 3 1 6
- 2θ = 82.48°, d 1.169, intensity 6, hkl 3 3 2

Cell and atoms:
abc: 5.094 5.094 10.302
angles: 90.00 90.00 90.00
Space group P4/mmm (No. 123)
Inequivalent atoms, fractional coordinates:
Pr (0.000, 0.000, 0.000) [1 per cell]
Pr (0.500, 0.500, 0.500) [1 per cell]
Nd (0.000, 0.500, 0.248) [4 per cell]
Dy (0.000, 0.000, 0.500) [1 per cell]
Mg (0.500, 0.500, 0.000) [1 per cell]

***

Record 13
The following is a computed XRD peak list of Pr2NdDy4Mg. It was derived from a DFT-relaxed cell (PBE, Alexandria), using copper Kα.
Kinematic intensities with the Lorentz-polarization factor, no thermal factor.

Top 10 peaks for 10° ≤ 2θ ≤ 90°, low angle first:
- 2θ = 30.65°, d 2.917, intensity 100, hkl 1 1 2
- 2θ = 34.98°, d 2.565, intensity 18, hkl 0 0 4
- 2θ = 35.82°, d 2.507, intensity 33, hkl 2 0 0
- 2θ = 50.94°, d 1.793, intensity 24, hkl 2 0 4
- 2θ = 51.56°, d 1.773, intensity 12, hkl 2 2 0
- 2θ = 60.07°, d 1.540, intensity 15, hkl 1 1 6
- 2θ = 61.13°, d 1.516, intensity 14, hkl 1 3 2
- 2θ = 61.24°, d 1.514, intensity 14, hkl 3 1 2
- 2θ = 63.83°, d 1.458, intensity 12, hkl 2 2 4
- 2θ = 83.07°, d 1.163, intensity 12, hkl 3 1 6

Cell and atoms:
abc: 5.009 5.019 10.260
angles: 90.00 90.00 90.00
Space group Pmmm (No. 47)
Inequivalent atoms, fractional coordinates:
Pr (0.000, 0.000, 0.000) [1 per cell]
Pr (0.500, 0.500, 0.500) [1 per cell]
Nd (0.000, 0.000, 0.500) [1 per cell]
Dy (0.000, 0.500, 0.247) [2 per cell]
Dy (0.500, 0.000, 0.247) [2 per cell]
Mg (0.500, 0.500, 0.000) [1 per cell]